# 1
# PrHo4Co4
Calculated powder diffraction line list, Cu Kα (weighted mean of Kα1 and Kα2). Input: a crystal structure in Alexandria, relaxed with GGA-PBE.
Peak positions follow from Bragg's law for the DFT cell and can differ from measured ones.

Principal peaks in the range 10 to 80 degrees two-theta, in order of rising 2θ:
28.5 deg, d = 3.132 Å, intensity 77; 33.3 deg, d = 2.690 Å, intensity 100; 34.2 deg, d = 2.625 Å, intensity 55; 47.8 deg, d = 1.902 Å, intensity 31; 50.9 deg, d = 1.793 Å, intensity 28; 56.6 deg, d = 1.626 Å, intensity 24

Cell and atoms:
```
data_PrHo4Co4
_space_group_name_H-M_alt 'P 1'
_space_group_IT_number 1
_cell_length_a 8.5053
_cell_length_b 8.5053
_cell_length_c 5.5185
_cell_angle_alpha 90.00
_cell_angle_beta 90.00
_cell_angle_gamma 90.00
loop_
_space_group_symop_operation_xyz
'x,y,z'
loop_
_atom_site_label
_atom_site_fract_x
_atom_site_fract_y
_atom_site_fract_z
Pr1 0.2500 0.2500 0.2500
Pr2 0.7500 0.7500 0.7500
Ho1 0.0676 0.6702 0.1356
Ho2 0.1702 0.9324 0.6356
Ho3 0.3298 0.5676 0.6356
Ho4 0.4324 0.8298 0.1356
Ho5 0.5676 0.1702 0.8644
Ho6 0.6702 0.4324 0.3644
Ho7 0.8298 0.0676 0.3644
Ho8 0.9324 0.3298 0.8644
Co1 0.0198 0.6086 0.6210
Co2 0.1086 0.9802 0.1210
Co3 0.3914 0.5198 0.1210
Co4 0.4802 0.8914 0.6210
Co5 0.5198 0.1086 0.3790
Co6 0.6086 0.4802 0.8790
Co7 0.8914 0.0198 0.8790
Co8 0.9802 0.3914 0.3790
```

=====

# 2
# Ho4Co2Pt
Calculated powder diffraction line list, Cu Kα (weighted mean of Kα1 and Kα2). Input: a crystal structure in Alexandria, relaxed with GGA-PBE.
Peak positions follow from Bragg's law for the DFT cell and can differ from measured ones.

Principal peaks in the range 10 to 80 degrees two-theta, in order of rising 2θ:
30.0 deg, d = 2.979 Å, intensity 25; 33.3 deg, d = 2.688 Å, intensity 100; 33.9 deg, d = 2.643 Å, intensity 58; 39.7 deg, d = 2.272 Å, intensity 39; 39.9 deg, d = 2.262 Å, intensity 43; 55.0 deg, d = 1.668 Å, intensity 19

Cell and atoms:
```
data_Ho4Co2Pt
_space_group_name_H-M_alt 'P 1'
_space_group_IT_number 1
_cell_length_a 7.3228
_cell_length_b 7.3228
_cell_length_c 7.3228
_cell_angle_alpha 110.57
_cell_angle_beta 108.92
_cell_angle_gamma 108.92
loop_
_space_group_symop_operation_xyz
'x,y,z'
loop_
_atom_site_label
_atom_site_fract_x
_atom_site_fract_y
_atom_site_fract_z
Ho1 0.0050 0.1217 0.9940
Ho2 0.1273 0.0063 0.5113
Ho3 0.3727 0.8841 0.8790
Ho4 0.4950 0.4890 0.1167
Ho5 0.5050 0.4937 0.6210
Ho6 0.6278 0.0110 0.5060
Ho7 0.8722 0.3783 0.3833
Ho8 0.9950 0.6159 0.9887
Co1 0.1235 0.3735 0.7500
Co2 0.3765 0.1265 0.2500
Co3 0.6217 0.2500 0.8717
Co4 0.8783 0.7500 0.6283
Pt1 0.2500 0.6255 0.3755
Pt2 0.7500 0.8745 0.1245
```